1.
Diffraction record for KCd3In4Cl12. The XRD peak list is theoretical, not measured: it uses a PBE-relaxed structure and a wavelength of 1.5418 Å.

Most intense lines, 10 to 90 degrees two-theta, in order of falling intensity:
2θ = 23.5°, intensity 100
2θ = 33.4°, intensity 66
2θ = 41.2°, intensity 45
2θ = 48.0°, intensity 44
2θ = 65.1°, intensity 23
2θ = 28.8°, intensity 21
2θ = 54.1°, intensity 21
2θ = 80.0°, intensity 18
2θ = 59.8°, intensity 14
2θ = 89.6°, intensity 14

Structure:
a b c (Å): 9.2856 9.2856 9.2856
angles (deg): 109.47 109.47 109.47
Fractional coordinates of all 20 atoms:
K  0.0000  0.0000  0.0000
Cd  0.0000  0.5000  0.5000
Cd  0.5000  0.0000  0.5000
Cd  0.5000  0.5000  0.0000
In  0.0000  0.0000  0.5000
In  0.0000  0.5000  0.0000
In  0.5000  0.0000  0.0000
In  0.5000  0.5000  0.5000
Cl  0.0000  0.2684  0.2684
Cl  0.0000  0.7316  0.7316
Cl  0.2500  0.5000  0.7500
Cl  0.2500  0.7500  0.5000
Cl  0.2684  0.0000  0.2684
Cl  0.2684  0.2684  0.0000
Cl  0.5000  0.2500  0.7500
Cl  0.5000  0.7500  0.2500
Cl  0.7316  0.0000  0.7316
Cl  0.7316  0.7316  0.0000
Cl  0.7500  0.2500  0.5000
Cl  0.7500  0.5000  0.2500

=====

2.
Diffraction record for MgCdInCl5. The XRD peak list is theoretical, not measured: it uses a PBE-relaxed structure and a wavelength of 1.5418 Å.

Most intense lines, 10 to 90 degrees two-theta, in order of falling intensity:
2θ = 21.7°, intensity 100
2θ = 25.1°, intensity 99
2θ = 29.6°, intensity 99
2θ = 34.9°, intensity 96
2θ = 23.5°, intensity 82
2θ = 20.4°, intensity 76
2θ = 25.2°, intensity 71
2θ = 40.1°, intensity 64
2θ = 20.1°, intensity 47
2θ = 26.4°, intensity 45

Structure:
a b c (Å): 7.3818 7.3818 9.5085
angles (deg): 102.87 102.87 106.44
Fractional coordinates of all 16 atoms:
Mg  0.0000  0.0000  0.0000
Mg  0.0000  0.0000  0.5000
Cd  0.3166  0.6834  0.7500
Cd  0.6834  0.3166  0.2500
In  0.3253  0.6747  0.2500
In  0.6747  0.3253  0.7500
Cl  0.0650  0.9350  0.2500
Cl  0.0860  0.6922  0.9068
Cl  0.2333  0.3585  0.5545
Cl  0.3078  0.9140  0.5932
Cl  0.3585  0.2333  0.0545
Cl  0.6415  0.7667  0.9455
Cl  0.6922  0.0860  0.4068
Cl  0.7667  0.6415  0.4455
Cl  0.9140  0.3078  0.0932
Cl  0.9350  0.0650  0.7500

=====

3.
Diffraction record for CdInSCl. The XRD peak list is theoretical, not measured: it uses a PBE-relaxed structure and a wavelength of 1.5418 Å.

Most intense lines, 10 to 90 degrees two-theta, in order of falling intensity:
2θ = 40.6°, intensity 100
2θ = 28.2°, intensity 96
2θ = 26.3°, intensity 94
2θ = 10.0°, intensity 78
2θ = 46.3°, intensity 45
2θ = 82.0°, intensity 35
2θ = 20.1°, intensity 33
2θ = 63.3°, intensity 29
2θ = 49.3°, intensity 27
2θ = 56.4°, intensity 17

Structure:
a b c (Å): 3.9189 3.9189 8.8148
angles (deg): 90.00 90.00 120.00
Fractional coordinates of all 4 atoms:
Cd  0.0000  0.0000  0.0000
In  0.0000  0.0000  0.3120
S  0.6667  0.3333  0.4465
Cl  0.3333  0.6667  0.8379

=====

4.
Diffraction record for ScCdInCl6. The XRD peak list is theoretical, not measured: it uses a PBE-relaxed structure and a wavelength of 1.5418 Å.

Most intense lines, 10 to 90 degrees two-theta, in order of falling intensity:
2θ = 19.8°, intensity 100
2θ = 37.1°, intensity 62
2θ = 42.8°, intensity 28
2θ = 29.3°, intensity 25
2θ = 33.2°, intensity 22
2θ = 46.4°, intensity 22
2θ = 26.3°, intensity 17
2θ = 58.2°, intensity 12
2θ = 60.9°, intensity 12
2θ = 42.0°, intensity 11

Structure:
a b c (Å): 6.7735 6.7735 6.9341
angles (deg): 90.00 90.00 120.00
Fractional coordinates of all 9 atoms:
Sc  0.0000  0.0000  0.0000
Cd  0.6667  0.3333  0.0000
In  0.3333  0.6667  0.5000
Cl  0.3165  0.0314  0.2115
Cl  0.3165  0.2850  0.7885
Cl  0.7150  0.0314  0.7885
Cl  0.7150  0.6835  0.2115
Cl  0.9686  0.2850  0.2115
Cl  0.9686  0.6835  0.7885

=====

5.
Diffraction record for UCdIn2Cl8. The XRD peak list is theoretical, not measured: it uses a PBE-relaxed structure and a wavelength of 1.5418 Å.

Most intense lines, 10 to 90 degrees two-theta, in order of falling intensity:
2θ = 17.7°, intensity 100
2θ = 24.6°, intensity 80
2θ = 18.8°, intensity 72
2θ = 35.7°, intensity 58
2θ = 24.3°, intensity 46
2θ = 35.0°, intensity 36
2θ = 43.9°, intensity 33
2θ = 36.9°, intensity 32
2θ = 36.1°, intensity 27
2θ = 38.1°, intensity 24

Structure:
a b c (Å): 6.7185 8.5848 7.0587
angles (deg): 90.00 93.25 90.00
Fractional coordinates of all 12 atoms:
U  0.0000  0.0000  0.0000
Cd  0.0000  0.5000  0.0000
In  0.5000  0.2627  0.5000
In  0.5000  0.7373  0.5000
Cl  0.2119  0.5000  0.2914
Cl  0.2185  0.2264  0.8645
Cl  0.2185  0.7736  0.8645
Cl  0.2275  0.0000  0.3158
Cl  0.7725  0.0000  0.6842
Cl  0.7815  0.2264  0.1355
Cl  0.7815  0.7736  0.1355
Cl  0.7881  0.5000  0.7086

=====

6.
Diffraction record for CdIrCl. The XRD peak list is theoretical, not measured: it uses a PBE-relaxed structure and a wavelength of 1.5418 Å.

Most intense lines, 10 to 90 degrees two-theta, in order of falling intensity:
2θ = 35.8°, intensity 100
2θ = 43.8°, intensity 58
2θ = 14.0°, intensity 43
2θ = 58.5°, intensity 21
2θ = 75.2°, intensity 20
2θ = 42.9°, intensity 17
2θ = 32.8°, intensity 17
2θ = 68.6°, intensity 14
2θ = 70.5°, intensity 14
2θ = 84.4°, intensity 12

Structure:
a b c (Å): 3.1561 3.1561 6.3235
angles (deg): 90.00 90.00 120.00
Fractional coordinates of all 3 atoms:
Cd  0.0000  0.0000  0.0000
Ir  0.3333  0.6667  0.6709
Cl  0.6667  0.3333  0.3492

=====

7.
Diffraction record for KCdCl4. The XRD peak list is theoretical, not measured: it uses a PBE-relaxed structure and a wavelength of 1.5418 Å.

Most intense lines, 10 to 90 degrees two-theta, in order of falling intensity:
2θ = 22.4°, intensity 100
2θ = 35.9°, intensity 95
2θ = 11.4°, intensity 53
2θ = 38.9°, intensity 41
2θ = 45.3°, intensity 29
2θ = 68.5°, intensity 24
2θ = 40.0°, intensity 21
2θ = 44.8°, intensity 16
2θ = 19.2°, intensity 15
2θ = 57.1°, intensity 14

Structure:
a b c (Å): 4.6306 4.6306 7.7304
angles (deg): 90.00 90.00 90.00
Fractional coordinates of all 6 atoms:
K  0.0000  0.0000  0.0000
Cd  0.5000  0.5000  0.5000
Cl  0.0000  0.5000  0.2864
Cl  0.0000  0.5000  0.7136
Cl  0.5000  0.0000  0.2864
Cl  0.5000  0.0000  0.7136

=====

8.
Diffraction record for KCd3Cl7. The XRD peak list is theoretical, not measured: it uses a PBE-relaxed structure and a wavelength of 1.5418 Å.

Most intense lines, 10 to 90 degrees two-theta, in order of falling intensity:
2θ = 16.5°, intensity 100
2θ = 30.4°, intensity 74
2θ = 12.7°, intensity 61
2θ = 39.2°, intensity 44
2θ = 29.0°, intensity 44
2θ = 34.1°, intensity 40
2θ = 23.7°, intensity 38
2θ = 46.1°, intensity 17
2θ = 50.9°, intensity 17
2θ = 42.8°, intensity 17

Structure:
a b c (Å): 7.1121 7.1121 6.7404
angles (deg): 97.74 97.74 79.58
Fractional coordinates of all 11 atoms:
K  0.0000  0.0000  0.0000
Cd  0.2920  0.7080  0.5000
Cd  0.5000  0.5000  0.0000
Cd  0.7080  0.2920  0.5000
Cl  0.0000  0.0000  0.5000
Cl  0.1626  0.5824  0.7825
Cl  0.3588  0.3588  0.2901
Cl  0.4176  0.8374  0.2175
Cl  0.5824  0.1626  0.7825
Cl  0.6412  0.6412  0.7099
Cl  0.8374  0.4176  0.2175

=====

9.
Diffraction record for K3Cd2Cl7. The XRD peak list is theoretical, not measured: it uses a PBE-relaxed structure and a wavelength of 1.5418 Å.

Most intense lines, 10 to 90 degrees two-theta, in order of falling intensity:
2θ = 34.0°, intensity 100
2θ = 17.2°, intensity 83
2θ = 23.9°, intensity 70
2θ = 24.1°, intensity 68
2θ = 13.7°, intensity 62
2θ = 49.3°, intensity 54
2θ = 35.5°, intensity 40
2θ = 34.6°, intensity 38
2θ = 48.8°, intensity 36
2θ = 42.1°, intensity 34

Structure:
a b c (Å): 13.4868 13.4868 13.4868
angles (deg): 157.45 157.45 32.11
Fractional coordinates of all 12 atoms:
K  0.0000  0.0000  0.0000
K  0.1794  0.1794  0.0000
K  0.8206  0.8206  0.0000
Cd  0.3976  0.3976  0.0000
Cd  0.6024  0.6024  0.0000
Cl  0.0972  0.5972  0.5000
Cl  0.2989  0.2989  0.0000
Cl  0.4028  0.9028  0.5000
Cl  0.5000  0.5000  0.0000
Cl  0.5972  0.0972  0.5000
Cl  0.7011  0.7011  0.0000
Cl  0.9028  0.4028  0.5000

=====

10.
Diffraction record for K3CdCl5. The XRD peak list is theoretical, not measured: it uses a PBE-relaxed structure and a wavelength of 1.5418 Å.

Most intense lines, 10 to 90 degrees two-theta, in order of falling intensity:
2θ = 29.2°, intensity 100
2θ = 31.4°, intensity 62
2θ = 23.9°, intensity 60
2θ = 18.7°, intensity 54
2θ = 14.7°, intensity 48
2θ = 29.6°, intensity 48
2θ = 49.2°, intensity 43
2θ = 35.3°, intensity 37
2θ = 38.0°, intensity 31
2θ = 47.5°, intensity 28

Structure:
a b c (Å): 9.7432 9.7432 9.7432
angles (deg): 128.12 128.12 76.43
Fractional coordinates of all 18 atoms:
K  0.1638  0.6638  0.8277
K  0.2500  0.2500  0.0000
K  0.3362  0.1638  0.5000
K  0.6638  0.8362  0.5000
K  0.7500  0.7500  0.0000
K  0.8362  0.3362  0.1723
Cd  0.2500  0.7500  0.5000
Cd  0.7500  0.2500  0.5000
Cl  0.0000  0.0000  0.0000
Cl  0.0115  0.1952  0.5000
Cl  0.1952  0.6952  0.1837
Cl  0.3048  0.4885  0.5000
Cl  0.4885  0.9885  0.1837
Cl  0.5000  0.5000  0.0000
Cl  0.5115  0.0115  0.8163
Cl  0.6952  0.5115  0.5000
Cl  0.8048  0.3048  0.8163
Cl  0.9885  0.8048  0.5000

=====

11.
Diffraction record for KPuCdCl6. The XRD peak list is theoretical, not measured: it uses a PBE-relaxed structure and a wavelength of 1.5418 Å.

Most intense lines, 10 to 90 degrees two-theta, in order of falling intensity:
2θ = 13.0°, intensity 100
2θ = 19.5°, intensity 100
2θ = 36.7°, intensity 99
2θ = 28.4°, intensity 94
2θ = 14.5°, intensity 49
2θ = 25.2°, intensity 44
2θ = 44.4°, intensity 39
2θ = 47.6°, intensity 30
2θ = 41.2°, intensity 30
2θ = 15.9°, intensity 29

Structure:
a b c (Å): 7.0737 7.0737 13.6058
angles (deg): 90.00 90.00 120.00
Fractional coordinates of all 18 atoms:
K  0.0000  0.0000  0.0000
K  0.0000  0.0000  0.5000
Pu  0.3333  0.6667  0.2500
Pu  0.6667  0.3333  0.7500
Cd  0.3333  0.6667  0.7500
Cd  0.6667  0.3333  0.2500
Cl  0.0066  0.3704  0.6394
Cl  0.0066  0.6362  0.8606
Cl  0.3638  0.3704  0.8606
Cl  0.3638  0.9934  0.6394
Cl  0.3704  0.0066  0.1394
Cl  0.3704  0.3638  0.3606
Cl  0.6296  0.6362  0.6394
Cl  0.6296  0.9934  0.8606
Cl  0.6362  0.0066  0.3606
Cl  0.6362  0.6296  0.1394
Cl  0.9934  0.3638  0.1394
Cl  0.9934  0.6296  0.3606

=====

12.
Diffraction record for K2RbCdCl5. The XRD peak list is theoretical, not measured: it uses a PBE-relaxed structure and a wavelength of 1.5418 Å.

Most intense lines, 10 to 90 degrees two-theta, in order of falling intensity:
2θ = 24.0°, intensity 100
2θ = 33.8°, intensity 65
2θ = 11.8°, intensity 59
2θ = 49.2°, intensity 41
2θ = 34.7°, intensity 37
2θ = 41.9°, intensity 33
2θ = 13.2°, intensity 32
2θ = 34.5°, intensity 29
2θ = 23.7°, intensity 21
2θ = 26.6°, intensity 21

Structure:
a b c (Å): 8.7906 8.7906 8.7906
angles (deg): 145.82 129.47 62.42
Fractional coordinates of all 9 atoms:
K  0.2064  0.2064  0.0000
K  0.7936  0.7936  0.0000
Rb  0.5000  0.0000  0.5000
Cd  0.0000  0.5000  0.5000
Cl  0.0000  0.0000  0.0000
Cl  0.1171  0.3715  0.7456
Cl  0.3741  0.6285  0.7456
Cl  0.6259  0.3715  0.2544
Cl  0.8829  0.6285  0.2544